Theoretical powder X-ray diffraction pattern
Compound: TmLu3
Radiation: CuKα
Structure: a structure optimized by DFT (PBE)
Peak positions follow from Bragg's law for the DFT cell and can differ from measured ones.

Principal peaks in the range 10° ≤ 2θ ≤ 80°, by angle:
2θ (°)	d (Å)	I/Imax	(hkl)
29.3	3.052	238	2 0 0
32.5	2.753	242	0 0 2
33.6	2.670	1000	2 0 1
44.3	2.044	156	2 0 2
51.9	1.762	197	2 2 0
58.7	1.573	204	2 0 3
62.6	1.484	225	2 2 2
63.2	1.471	163	4 0 1

Cell and atoms:
Unit cell a=7.0488 b=7.0488 c=5.5062 alpha=90.00 beta=90.00 gamma=120.00
Atoms (fractional coordinates):
1 Tm 0.3333 0.6667 0.2500
2 Tm 0.6667 0.3333 0.7500
3 Lu 0.1665 0.3329 0.7500
4 Lu 0.1665 0.8335 0.7500
5 Lu 0.3329 0.1665 0.2500
6 Lu 0.6671 0.8335 0.7500
7 Lu 0.8335 0.1665 0.2500
8 Lu 0.8335 0.6671 0.2500